Calculated X-ray diffraction stick pattern
Compound: TlAgTeO3
Radiation: Cu Kα (weighted mean of Kα1 and Kα2)
Structure: a GGA-PBE-relaxed structure

Principal peaks in the range 10° ≤ 2θ ≤ 90°, by angle:
29.0°, intensity 100, hkl 2 3 1
31.6°, intensity 29, hkl 4 0 0
34.0°, intensity 24, hkl 0 0 2
35.2°, intensity 17, hkl 0 6 0
47.1°, intensity 17, hkl 4 0 2
48.0°, intensity 13, hkl 4 6 0
49.7°, intensity 12, hkl 0 6 2
54.7°, intensity 18, hkl 6 3 1
57.8°, intensity 16, hkl 2 3 3
59.4°, intensity 8, hkl 2 9 1
60.1°, intensity 12, hkl 4 6 2
76.4°, intensity 11, hkl 8 0 2

Cell and atoms:
```
data_TlAgTeO3
_chemical_formula_sum 'Tl8 Ag8 Te8 O24'
_symmetry_space_group_name_H-M 'I b a 2'
_symmetry_Int_Tables_number 45
_cell_length_a 11.312
_cell_length_b 15.316
_cell_length_c 5.274
_cell_angle_alpha 90.00
_cell_angle_beta 90.00
_cell_angle_gamma 90.00
loop_
_symmetry_equiv_pos_as_xyz
'x,y,z'
'-x,-y,z'
'-x,y,z+1/2'
'x,-y,z+1/2'
'x+1/2,y+1/2,z+1/2'
'-x+1/2,-y+1/2,z+1/2'
'-x+1/2,y+1/2,z'
'x+1/2,-y+1/2,z'
loop_
_atom_site_label
_atom_site_type_symbol
_atom_site_fract_x
_atom_site_fract_y
_atom_site_fract_z
Tl1 Tl 0.124 0.094 0.000
Ag1 Ag 0.117 0.245 0.513
Te1 Te 0.135 0.393 0.029
O1 O 0.111 0.271 0.985
O2 O 0.140 0.396 0.391
O3 O 0.199 0.105 0.469
```

***

Calculated X-ray diffraction stick pattern
Compound: Hg19As10Br18
Radiation: Cu Kα (weighted mean of Kα1 and Kα2)
Structure: a GGA-PBE-relaxed structure

Principal peaks in the range 10° ≤ 2θ ≤ 90°, by angle:
21.0°, intensity 32, hkl 0 1 2
24.1°, intensity 14, hkl 1 2 -3
24.3°, intensity 16, hkl 3 0 -1
24.7°, intensity 37, hkl 2 -2 2
28.5°, intensity 100, hkl -3 1 3
28.6°, intensity 11, hkl 1 0 3
30.6°, intensity 11, hkl 2 -2 3
32.7°, intensity 10, hkl 3 -1 2
35.9°, intensity 12, hkl 3 1 1
39.1°, intensity 17, hkl -2 4 2
42.3°, intensity 19, hkl 4 2 -4
47.8°, intensity 11, hkl 4 3 -2

Cell and atoms:
```
data_Hg19As10Br18
_chemical_formula_sum 'Hg19 As10 Br18'
_symmetry_space_group_name_H-M 'P -1'
_symmetry_Int_Tables_number 2
_cell_length_a 11.619
_cell_length_b 11.654
_cell_length_c 12.738
_cell_angle_alpha 106.13
_cell_angle_beta 106.25
_cell_angle_gamma 108.32
loop_
_symmetry_equiv_pos_as_xyz
'x,y,z'
'-x,-y,-z'
loop_
_atom_site_label
_atom_site_type_symbol
_atom_site_fract_x
_atom_site_fract_y
_atom_site_fract_z
Hg1 Hg 0.000 0.000 0.000
Hg2 Hg 0.072 0.416 0.278
Hg3 Hg 0.072 0.742 0.185
Hg4 Hg 0.124 0.124 0.405
Hg5 Hg 0.202 0.795 0.589
Hg6 Hg 0.307 0.505 0.782
Hg7 Hg 0.308 0.192 0.898
Hg8 Hg 0.325 0.887 0.006
Hg9 Hg 0.369 0.608 0.177
Hg10 Hg 0.485 0.704 0.576
As1 As 0.043 0.801 0.698
As2 As 0.167 0.972 0.902
As3 As 0.216 0.642 0.286
As4 As 0.364 0.823 0.486
As5 As 0.448 0.415 0.897
Br1 Br 0.035 0.156 0.656
Br2 Br 0.116 0.299 0.019
Br3 Br 0.143 0.487 0.585
Br4 Br 0.170 0.598 0.931
Br5 Br 0.218 0.012 0.225
Br6 Br 0.336 0.180 0.581
Br7 Br 0.382 0.406 0.329
Br8 Br 0.463 0.787 0.865
Br9 Br 0.500 0.090 0.797
```

***

Calculated X-ray diffraction stick pattern
Compound: LiHS
Radiation: Cu Kα (weighted mean of Kα1 and Kα2)
Structure: a GGA-PBE-relaxed structure

Principal peaks in the range 10° ≤ 2θ ≤ 90°, by angle:
26.8°, intensity 100, hkl 1 1 1
28.9°, intensity 16, hkl 2 0 0
31.8°, intensity 10, hkl 0 2 0
32.4°, intensity 10, hkl 0 0 2
43.5°, intensity 14, hkl 2 2 0
44.0°, intensity 14, hkl 2 0 2
46.0°, intensity 13, hkl 0 2 2
50.0°, intensity 14, hkl 3 1 1
53.7°, intensity 10, hkl 1 3 1
54.5°, intensity 10, hkl 1 1 3
55.3°, intensity 7, hkl 2 2 2
78.7°, intensity 5, hkl 4 2 2

Cell and atoms:
```
data_LiHS
_chemical_formula_sum 'Li4 H4 S4'
_symmetry_space_group_name_H-M 'A m a 2'
_symmetry_Int_Tables_number 40
_cell_length_a 6.175
_cell_length_b 5.632
_cell_length_c 5.524
_cell_angle_alpha 90.00
_cell_angle_beta 90.00
_cell_angle_gamma 90.00
loop_
_symmetry_equiv_pos_as_xyz
'x,y,z'
'-x,-y,z'
'-x+1/2,y,z'
'x+1/2,-y,z'
'x,y+1/2,z+1/2'
'-x,-y+1/2,z+1/2'
'-x+1/2,y+1/2,z+1/2'
'x+1/2,-y+1/2,z+1/2'
loop_
_atom_site_label
_atom_site_type_symbol
_atom_site_fract_x
_atom_site_fract_y
_atom_site_fract_z
Li1 Li 0.000 0.000 0.000
H1 H 0.250 0.075 0.557
S1 S 0.250 0.238 0.735
```